# KCoHg2O4
Computed XRD peak list, Cu Kα, 1.54184 Å. Input: a structure optimized by DFT (GGA+U).
Kinematic intensities with the Lorentz-polarization factor, no thermal factor.

The 10 most intense peaks (2θ from 10° to 80°), low angle first:
Position (°2θ)	d_spacing	Rel. int.
18.34	4.837	29
20.89	4.251	59
28.30	3.153	41
31.08	2.878	30
31.73	2.820	100
38.57	2.334	19
42.53	2.126	34
48.98	1.860	23
52.30	1.749	25
55.70	1.650	21

Atomic structure:
Lattice parameters (Å, degrees): 5.6948 5.6948 5.6948 119.29 112.75 97.12
Sites, in units of the cell vectors:
K1 0.0000 0.0000 0.0000
Co1 0.5000 0.5000 0.0000
Hg1 0.3004 0.8004 0.5000
Hg2 0.6996 0.1996 0.5000
O1 0.1841 0.1595 0.6509
O2 0.4914 0.8405 0.0246
O3 0.5086 0.5332 0.3491
O4 0.8159 0.4668 0.9754